Starting from DFT lattice parameters and positions (PBE), the powder diffraction line list of TeRhO4 was computed for Cu Kα, 1.54184 Å.

Largest 10 diffraction maxima, sorted by position, 10° ≤ 2θ ≤ 90°:
| 2θ (°) | I_rel |
| --- | --- |
| 26.3 | 100 |
| 33.6 | 79 |
| 37.6 | 22 |
| 51.3 | 66 |
| 54.2 | 16 |
| 61.2 | 15 |
| 64.2 | 15 |
| 65.3 | 20 |
| 77.8 | 12 |
| 89.8 | 12 |

```
TeRhO4
1.0
-3.3859 3.3859 3.2116
3.3859 -3.3859 3.2116
3.3859 3.3859 -3.2116
Te Rh O
2 2 8
direct
0.0000 0.0000 0.0000
0.7500 0.2500 0.5000
0.2582 0.7582 0.5000
0.5082 0.5082 0.0000
0.0103 0.3168 0.3065
0.0103 0.7038 0.6935
0.0668 0.2603 0.8065
0.4538 0.2603 0.1935
0.5051 0.1996 0.6945
0.5051 0.8107 0.3055
0.5607 0.7551 0.8055
0.9496 0.7551 0.1945
```